No. 1
NaZr3V: simulated powder X-ray diffraction pattern (Cu Kα (λ = 1.5418 Å)), based on a DFT-relaxed cell (GGA-PBE, Alexandria).
Intensities are scaled so that the largest is 100.

Crystal structure
```
data_NaZr3V
_space_group_name_H-M_alt 'P m -3 m'
_space_group_IT_number 221
_space_group_name_Hall '-P 4 2 3'
_cell_length_a 5.0195
_cell_length_b 5.0195
_cell_length_c 5.0195
_cell_angle_alpha 90.00
_cell_angle_beta 90.00
_cell_angle_gamma 90.00
loop_
_atom_site_label
_atom_site_fract_x
_atom_site_fract_y
_atom_site_fract_z
_atom_site_occupancy
Na1 0.0000 0.0000 0.0000 1
Zr1 0.0000 0.5000 0.5000 1
V1 0.5000 0.5000 0.5000 1
```

The 10 most intense peaks (2θ from 15° to 90°), in order of rising 2θ:
(1 0 0), 2θ 17.7, I = 68
(1 1 1), 2θ 30.9, I = 100
(2 0 0), 2θ 35.8, I = 98
(2 1 0), 2θ 40.2, I = 31
(2 2 0), 2θ 51.5, I = 66
(3 0 0), 2θ 54.9, I = 15
(3 1 1), 2θ 61.2, I = 41
(2 2 2), 2θ 64.3, I = 22
(3 3 1), 2θ 84.1, I = 16
(4 2 0), 2θ 86.8, I = 28



No. 2
NaW: simulated powder X-ray diffraction pattern (Cu Kα (λ = 1.5418 Å)), based on a DFT-relaxed cell (GGA-PBE, Alexandria).
Intensities are scaled so that the largest is 100.

Crystal structure
```
data_NaW
_space_group_name_H-M_alt 'P 4/m'
_space_group_IT_number 83
_cell_length_a 11.0543
_cell_length_b 11.0543
_cell_length_c 2.6547
_cell_angle_alpha 90.00
_cell_angle_beta 90.00
_cell_angle_gamma 90.00
loop_
_space_group_symop_operation_xyz
'x,y,z'
'-x,-y,-z'
'-y,x,z'
'y,-x,-z'
'-x,-y,z'
'x,y,-z'
'y,-x,z'
'-y,x,-z'
loop_
_atom_site_label
_atom_site_fract_x
_atom_site_fract_y
_atom_site_fract_z
_atom_site_occupancy
Na1 0.0336 0.1925 0.0000 1
Na2 0.2106 0.6962 0.5000 1
W1 0.1031 0.4404 0.5000 1
W2 0.3303 0.4716 0.0000 1
```

The 10 most intense peaks (2θ from 15° to 90°), in order of rising 2θ:
(2 0 0), 2θ 16.0, I = 68
(1 2 0), 2θ 17.9, I = 57
(3 2 0), 2θ 29.1, I = 40
(1 4 0), 2θ 33.4, I = 71
(1 1 1), 2θ 35.7, I = 87
(2 4 0), 2θ 36.3, I = 31
(3 4 0), 2θ 40.8, I = 60
(5 1 0), 2θ 41.7, I = 56
(2 3 1), 2θ 45.2, I = 100
(7 4 1), 2θ 78.5, I = 31



No. 3
Na3Zn11: simulated powder X-ray diffraction pattern (Cu Kα (λ = 1.5418 Å)), based on a DFT-relaxed cell (GGA-PBE, Alexandria).
Intensities are scaled so that the largest is 100.

Crystal structure
```
data_Na3Zn11
_space_group_name_H-M_alt 'I m m m'
_space_group_IT_number 71
_space_group_name_Hall '-I 2 2'
_cell_length_a 4.4031
_cell_length_b 9.1630
_cell_length_c 12.7646
_cell_angle_alpha 90.00
_cell_angle_beta 90.00
_cell_angle_gamma 90.00
loop_
_atom_site_label
_atom_site_fract_x
_atom_site_fract_y
_atom_site_fract_z
_atom_site_occupancy
Na1 0.0000 0.0000 0.0000 1
Na2 0.0000 0.0000 0.2949 1
Zn1 0.0000 0.1799 0.5000 1
Zn2 0.0000 0.2816 0.1280 1
Zn3 0.0000 0.3548 0.3316 1
Zn4 0.0000 0.5000 0.0000 1
```

The 10 most intense peaks (2θ from 15° to 90°), in order of rising 2θ:
(0 2 0), 2θ 19.4, I = 73
(0 1 3), 2θ 23.0, I = 51
(1 2 3), 2θ 35.3, I = 100
(0 3 3), 2θ 36.2, I = 51
(1 3 2), 2θ 38.5, I = 87
(1 0 5), 2θ 40.9, I = 51
(2 0 0), 2θ 41.0, I = 99
(1 4 1), 2θ 45.2, I = 55
(1 2 5), 2θ 45.6, I = 47
(1 3 4), 2θ 46.0, I = 76



No. 4
Na4Zn: simulated powder X-ray diffraction pattern (Cu Kα (λ = 1.5418 Å)), based on a DFT-relaxed cell (GGA-PBE, Alexandria).
Intensities are scaled so that the largest is 100.

Crystal structure
```
data_Na4Zn
_space_group_name_H-M_alt 'F m m m'
_space_group_IT_number 69
_space_group_name_Hall '-F 2 2'
_cell_length_a 5.2079
_cell_length_b 5.2310
_cell_length_c 22.7216
_cell_angle_alpha 90.00
_cell_angle_beta 90.00
_cell_angle_gamma 90.00
loop_
_atom_site_label
_atom_site_fract_x
_atom_site_fract_y
_atom_site_fract_z
_atom_site_occupancy
Na1 0.0000 0.0000 0.0783 1
Na2 0.0000 0.0000 0.3078 1
Zn1 0.0000 0.0000 0.5000 1
```

The 10 most intense peaks (2θ from 15° to 90°), in order of rising 2θ:
(0 0 4), 2θ 15.6, I = 18
(1 1 1), 2θ 24.4, I = 16
(1 1 5), 2θ 31.2, I = 100
(0 2 0), 2θ 34.3, I = 23
(2 0 0), 2θ 34.4, I = 22
(1 1 7), 2θ 36.9, I = 21
(1 1 9), 2θ 43.4, I = 10
(2 2 0), 2θ 49.4, I = 15
(1 3 5), 2θ 59.5, I = 14
(3 1 5), 2θ 59.7, I = 14